The following is a theoretical X-ray diffraction stick pattern of Sm2Pd2Pb. It was derived from a cell relaxed with PBE, using Cu Kα, 1.54184 Å.
Lines closer than 0.1° are merged.

Peak list (10 most intense, 2θ = 10–90°, sorted by position)
2θ (°)  I/Imax
28.43  14.8
31.79  22.0
32.66  63.1
34.60  100.0
35.66  67.8
48.12  19.0
53.27  13.7
54.60  15.7
61.32  28.4
64.58  20.8

Crystal structure
```
Sm2Pd2Pb
1.0
7.961 0.000 0.000
0.000 7.961 0.000
0.000 0.000 3.782
Sm Pd Pb
4 4 2
direct
0.175 0.325 0.000 Sm
0.325 0.825 0.000 Sm
0.675 0.175 0.000 Sm
0.825 0.675 0.000 Sm
0.124 0.624 0.500 Pd
0.376 0.124 0.500 Pd
0.624 0.876 0.500 Pd
0.876 0.376 0.500 Pd
0.000 0.000 0.500 Pb
0.500 0.500 0.500 Pb
```

=====

The following is a theoretical X-ray diffraction stick pattern of V3Re. It was derived from a cell relaxed with PBE, using Cu Kα, 1.54184 Å.
Lines closer than 0.1° are merged.

Peak list (10 most intense, 2θ = 10–90°, sorted by position)
2θ (°)  I/Imax
25.59  39.9
29.63  20.9
42.40  100.0
50.18  20.9
52.58  6.1
61.52  15.9
67.74  8.9
69.75  8.2
77.56  31.7
83.26  7.0

Crystal structure
```
V3Re
1.0
0.000 3.015 3.015
3.015 0.000 3.015
3.015 3.015 0.000
V Re
3 1
direct
0.000 0.000 0.000 V
0.250 0.250 0.250 V
0.750 0.750 0.750 V
0.500 0.500 0.500 Re
```

=====

The following is a theoretical X-ray diffraction stick pattern of CsAgBr3. It was derived from a cell relaxed with PBE, using Cu Kα, 1.54184 Å.
Lines closer than 0.1° are merged.

Peak list (10 most intense, 2θ = 10–90°, sorted by position)
2θ (°)  I/Imax
22.88  52.9
28.12  57.4
32.59  100.0
40.19  23.9
46.75  70.9
55.45  25.0
58.15  24.3
63.32  12.1
77.71  31.2
86.82  24.1

Crystal structure
```
CsAgBr3
1.0
5.494 0.000 0.000
0.000 5.498 0.000
-0.005 0.000 5.495
Cs Ag Br
1 1 3
direct
0.000 0.000 0.000 Cs
0.506 0.500 0.491 Ag
0.006 0.500 0.495 Br
0.498 0.500 0.991 Br
0.507 0.000 0.493 Br
```

=====

The following is a theoretical X-ray diffraction stick pattern of PrCo5P3. It was derived from a cell relaxed with PBE, using Cu Kα, 1.54184 Å.
Lines closer than 0.1° are merged.

Peak list (10 most intense, 2θ = 10–90°, sorted by position)
2θ (°)  I/Imax
26.65  15.7
29.81  14.0
35.29  13.8
37.51  18.5
38.67  100.0
38.94  68.4
39.97  26.1
49.26  39.0
53.35  20.6
75.54  14.2

Crystal structure
```
PrCo5P3
1.0
11.856 0.000 0.000
0.000 3.700 0.000
0.000 0.000 10.415
Pr Co P
4 20 12
direct
0.202 0.250 0.083 Pr
0.298 0.750 0.583 Pr
0.702 0.250 0.417 Pr
0.798 0.750 0.917 Pr
0.010 0.750 0.095 Co
0.010 0.750 0.713 Co
0.067 0.750 0.469 Co
0.175 0.250 0.779 Co
0.196 0.250 0.382 Co
0.304 0.750 0.882 Co
0.325 0.750 0.279 Co
0.433 0.250 0.969 Co
0.490 0.250 0.213 Co
0.490 0.250 0.595 Co
0.510 0.750 0.405 Co
0.510 0.750 0.787 Co
0.567 0.750 0.031 Co
0.675 0.250 0.721 Co
0.696 0.250 0.118 Co
0.804 0.750 0.618 Co
0.825 0.750 0.221 Co
0.933 0.250 0.531 Co
0.990 0.250 0.287 Co
0.990 0.250 0.905 Co
0.107 0.750 0.894 P
0.110 0.250 0.582 P
0.130 0.750 0.276 P
0.370 0.250 0.776 P
0.390 0.750 0.082 P
0.393 0.250 0.394 P
0.607 0.750 0.606 P
0.610 0.250 0.918 P
0.630 0.750 0.224 P
0.870 0.250 0.724 P
0.890 0.750 0.418 P
0.893 0.250 0.106 P
```

=====

The following is a theoretical X-ray diffraction stick pattern of Bi4Te3Se3. It was derived from a cell relaxed with PBE, using Cu Kα, 1.54184 Å.
Lines closer than 0.1° are merged.

Peak list (10 most intense, 2θ = 10–90°, sorted by position)
2θ (°)  I/Imax
17.16  15.1
24.04  12.0
27.92  100.0
33.35  11.9
37.74  31.9
41.97  37.9
45.13  12.7
51.17  19.1
68.26  16.3
69.96  13.1

Crystal structure
```
Bi4Te3Se3
1.0
2.152 1.243 20.670
-2.152 1.243 20.670
0.000 -2.485 20.670
Bi Te Se
4 3 3
direct
0.000 0.000 0.000 Bi
0.104 0.104 0.104 Bi
0.497 0.497 0.497 Bi
0.606 0.606 0.606 Bi
0.193 0.193 0.193 Te
0.696 0.696 0.696 Te
0.910 0.910 0.910 Te
0.303 0.303 0.303 Se
0.413 0.413 0.413 Se
0.800 0.800 0.800 Se
```

=====

The following is a theoretical X-ray diffraction stick pattern of Ba4Cu2Si21. It was derived from a cell relaxed with PBE, using Cu Kα, 1.54184 Å.
Lines closer than 0.1° are merged.

Peak list (10 most intense, 2θ = 10–90°, sorted by position)
2θ (°)  I/Imax
17.06  12.0
19.09  10.1
20.93  29.6
29.77  29.8
31.02  28.4
32.22  100.0
34.47  17.2
52.83  15.0
54.37  26.0
54.49  11.5

Crystal structure
```
Ba4Cu2Si21
1.0
10.372 0.000 0.000
0.000 7.361 7.356
0.000 -7.361 7.356
Ba Cu Si
8 4 42
direct
0.000 0.000 0.000 Ba
0.250 0.480 0.249 Ba
0.250 0.481 0.732 Ba
0.250 0.993 0.488 Ba
0.500 0.000 0.000 Ba
0.750 0.249 0.480 Ba
0.750 0.488 0.993 Ba
0.750 0.732 0.481 Ba
0.000 0.490 0.490 Cu
0.250 0.241 0.991 Cu
0.500 0.490 0.490 Cu
0.750 0.991 0.241 Cu
0.056 0.607 0.990 Si
0.063 0.368 0.990 Si
0.065 0.805 0.308 Si
0.066 0.174 0.306 Si
0.067 0.175 0.676 Si
0.067 0.804 0.675 Si
0.129 0.300 0.491 Si
0.131 0.679 0.491 Si
0.250 0.113 0.804 Si
0.250 0.114 0.178 Si
0.250 0.738 0.991 Si
0.250 0.872 0.184 Si
0.250 0.874 0.797 Si
0.369 0.679 0.491 Si
0.371 0.300 0.491 Si
0.433 0.175 0.676 Si
0.433 0.804 0.675 Si
0.434 0.174 0.306 Si
0.435 0.805 0.308 Si
0.437 0.368 0.990 Si
0.444 0.607 0.990 Si
0.556 0.990 0.607 Si
0.563 0.990 0.368 Si
0.565 0.308 0.805 Si
0.566 0.306 0.174 Si
0.567 0.675 0.804 Si
0.567 0.676 0.175 Si
0.629 0.491 0.300 Si
0.631 0.491 0.679 Si
0.750 0.178 0.114 Si
0.750 0.184 0.872 Si
0.750 0.797 0.874 Si
0.750 0.804 0.113 Si
0.750 0.991 0.738 Si
0.869 0.491 0.679 Si
0.871 0.491 0.300 Si
0.933 0.675 0.804 Si
0.933 0.676 0.175 Si
0.934 0.306 0.174 Si
0.935 0.308 0.805 Si
0.937 0.990 0.368 Si
0.944 0.990 0.607 Si
```

=====

The following is a theoretical X-ray diffraction stick pattern of Sm2Au2O5. It was derived from a cell relaxed with PBE, using Cu Kα, 1.54184 Å.
Lines closer than 0.1° are merged.

Peak list (10 most intense, 2θ = 10–90°, sorted by position)
2θ (°)  I/Imax
12.39  12.5
30.01  78.2
32.87  100.0
42.95  43.1
43.66  18.6
55.13  47.1
62.37  13.9
62.91  12.5
70.75  14.5
87.96  13.4

Crystal structure
```
Sm2Au2O5
1.0
4.211 0.000 0.000
0.000 4.211 0.000
0.000 0.000 7.146
Sm Au O
2 2 5
direct
0.000 0.000 0.000 Sm
0.000 0.000 0.500 Sm
0.500 0.500 0.192 Au
0.500 0.500 0.808 Au
0.000 0.500 0.227 O
0.000 0.500 0.773 O
0.500 0.000 0.227 O
0.500 0.000 0.773 O
0.500 0.500 0.500 O
```

=====

Copy entry 2 word for word.
The following is a theoretical X-ray diffraction stick pattern of V3Re. It was derived from a cell relaxed with PBE, using Cu Kα, 1.54184 Å.
Lines closer than 0.1° are merged.

Peak list (10 most intense, 2θ = 10–90°, sorted by position)
2θ (°)  I/Imax
25.59  39.9
29.63  20.9
42.40  100.0
50.18  20.9
52.58  6.1
61.52  15.9
67.74  8.9
69.75  8.2
77.56  31.7
83.26  7.0

Crystal structure
```
V3Re
1.0
0.000 3.015 3.015
3.015 0.000 3.015
3.015 3.015 0.000
V Re
3 1
direct
0.000 0.000 0.000 V
0.250 0.250 0.250 V
0.750 0.750 0.750 V
0.500 0.500 0.500 Re
```